Diffraction record for RhW3S. The powder diffraction line list is computed, not measured: it uses DFT lattice parameters and positions (GGA-PBE) and λ = 1.5418 Å (Cu Kα).
No peak broadening, texture or thermal motion is included.

Top 10 peaks for 10 to 90 degrees two-theta, by angle:
- (1 0 0), 2θ = 20.28°, rel. 9.6
- (1 1 0), 2θ = 28.83°, rel. 1.1
- (1 1 1), 2θ = 35.50°, rel. 100.0
- (2 0 0), 2θ = 41.23°, rel. 60.8
- (2 1 0), 2θ = 46.36°, rel. 4.4
- (2 2 0), 2θ = 59.72°, rel. 40.9
- (3 0 0), 2θ = 63.75°, rel. 2.1
- (3 1 1), 2θ = 71.44°, rel. 40.0
- (2 2 2), 2θ = 75.15°, rel. 13.9
- (4 0 0), 2θ = 89.52°, rel. 7.0

Crystal structure
Cell lengths 4.3794, 4.3794, 4.3794 Å; angles 90.00, 90.00, 90.00 degrees
Space group Pm-3m (No. 221)
One atom of each set of equivalent atoms:
1 Rh 0.0000 0.0000 0.0000
2 W 0.0000 0.5000 0.5000
3 S 0.5000 0.5000 0.5000

***

Diffraction record for Dy2PuBi3. The powder diffraction line list is computed, not measured: it uses DFT lattice parameters and positions (GGA-PBE) and λ = 1.5418 Å (Cu Kα).
No peak broadening, texture or thermal motion is included.

Top 10 peaks for 10 to 90 degrees two-theta, by angle:
- (2 0 6), 2θ = 28.05°, rel. 100.0
- (4 0 0), 2θ = 40.09°, rel. 78.6
- (4 4 0), 2θ = 49.64°, rel. 28.7
- (4 0 12), 2θ = 57.99°, rel. 13.6
- (6 0 6), 2θ = 65.62°, rel. 31.5
- (2 0 18), 2θ = 65.70°, rel. 6.3
- (6 4 6), 2θ = 72.81°, rel. 18.8
- (2 4 18), 2θ = 72.90°, rel. 9.4
- (4 8 12), 2θ = 86.55°, rel. 6.2
- (0 0 24), 2θ = 86.68°, rel. 1.6

Crystal structure
Cell lengths 9.0060, 12.7245, 26.9580 Å; angles 90.00, 90.00, 90.00 degrees
Space group Fddd (No. 70, origin choice 2)
One atom of each set of equivalent atoms:
1 Dy 0.1250 0.1250 0.0416
2 Dy 0.1250 0.1250 0.3753
3 Pu 0.1250 0.1250 0.5417
4 Bi 0.1229 0.3750 0.3750
5 Bi 0.1237 0.3743 0.2081

***

Diffraction record for Li2TmSnTe4. The powder diffraction line list is computed, not measured: it uses DFT lattice parameters and positions (GGA-PBE) and λ = 1.5418 Å (Cu Kα).
No peak broadening, texture or thermal motion is included.

Top 10 peaks for 10 to 90 degrees two-theta, by angle:
- (1 0 0), 2θ = 12.63°, rel. 38.2
- (0 1 1), 2θ = 24.31°, rel. 22.2
- (1 1 -1), 2θ = 25.40°, rel. 13.6
- (2 0 -2), 2θ = 29.11°, rel. 51.6
- (1 1 1), 2θ = 29.44°, rel. 100.0
- (1 1 -3), 2θ = 41.69°, rel. 38.9
- (3 1 -1), 2θ = 42.03°, rel. 56.8
- (0 2 0), 2θ = 42.26°, rel. 18.8
- (2 2 -2), 2θ = 52.16°, rel. 30.4
- (5 1 -3), 2θ = 68.81°, rel. 17.5

Crystal structure
Cell lengths 7.4533, 4.2769, 7.5370 Å; angles 90.00, 109.89, 90.00 degrees
Space group P2/m (No. 10)
One atom of each set of equivalent atoms:
1 Li 0.0000 0.0000 0.0000
2 Li 0.0000 0.5000 0.5000
3 Tm 0.5000 0.0000 0.5000
4 Sn 0.5000 0.5000 0.0000
5 Te 0.2426 0.0000 0.7431
6 Te 0.2463 0.5000 0.2481

***

Diffraction record for Nd2BeGaNi6. The powder diffraction line list is computed, not measured: it uses DFT lattice parameters and positions (GGA-PBE) and λ = 1.5418 Å (Cu Kα).
No peak broadening, texture or thermal motion is included.

Top 10 peaks for 10 to 90 degrees two-theta, by angle:
- (2 2 0), 2θ = 29.35°, rel. 44.4
- (2 2 2), 2θ = 36.15°, rel. 100.0
- (4 0 0), 2θ = 41.99°, rel. 78.2
- (3 3 1), 2θ = 45.96°, rel. 8.3
- (4 2 2), 2θ = 52.05°, rel. 16.5
- (4 4 0), 2θ = 60.89°, rel. 48.1
- (6 2 0), 2θ = 69.01°, rel. 9.7
- (6 2 2), 2θ = 72.90°, rel. 32.6
- (4 4 4), 2θ = 76.71°, rel. 15.3
- (6 4 2), 2θ = 84.18°, rel. 10.6

Crystal structure
Cell lengths 8.6069, 8.6069, 8.6069 Å; angles 90.00, 90.00, 90.00 degrees
Space group Fm-3m (No. 225)
One atom of each set of equivalent atoms:
1 Nd 0.2500 0.2500 0.2500
2 Be 0.0000 0.0000 0.0000
3 Ga 0.0000 0.0000 0.5000
4 Ni 0.0000 0.0000 0.2321